The following is a calculated PXRD pattern of Sr2CaCu2Bi2IO8. It was derived from DFT lattice parameters and positions (PBE), using Cu Ka.

Main lines, in order of rising 2θ (10 to 80 degrees two-theta):
hkl  two_theta  Rel. int.
1 3 1  27.44  1000
1 4 1  30.15  281
0 0 2  32.67  311
1 5 1  33.34  224
2 0 0  34.39  305
2 0 2  48.18  310

a b c (Å): 5.2149 19.1204 5.4816
angles (deg): 90.00 90.00 90.00
Space group Pmna (No. 53)
Symmetry-distinct sites (fractional):
Sr 0.0000 0.1821 0.0039
Ca 0.0000 0.0000 0.0000
Cu 0.0000 0.0836 0.5001
Bi 0.0000 0.3305 0.5328
I 0.0000 0.5000 0.0000
O 0.0000 0.2220 0.4803
O 0.0000 0.3164 0.9203
O 0.2500 0.0828 0.2500
O 0.2500 0.0842 0.7500

***

The following is a calculated PXRD pattern of Sr4CaYCu4Bi2Pb2O16. It was derived from DFT lattice parameters and positions (PBE), using Cu Ka.

Main lines, in order of rising 2θ (10 to 80 degrees two-theta):
hkl  two_theta  Rel. int.
1 1 -4  24.69  418
1 1 4  27.19  1000
1 1 6  30.58  759
2 0 -2  32.79  461
0 2 0  33.23  454
2 2 -2  47.38  381

a b c (Å): 5.4621 5.3931 32.0340
angles (deg): 90.00 99.66 90.00
Space group P2/c (No. 13)
Symmetry-distinct sites (fractional):
Sr 0.1052 0.0367 0.3606
Sr 0.3850 0.4620 0.6382
Ca 0.0000 0.0357 0.2500
Y 0.5000 0.4640 0.7500
Cu 0.0523 0.4614 0.8028
Cu 0.4441 0.0387 0.1952
Bi 0.2194 0.4991 0.9462
Pb 0.3138 0.0136 0.0529
O 0.0946 0.4483 0.8804
O 0.1996 0.2853 0.2038
O 0.2155 0.2237 0.7038
O 0.2712 0.1126 0.4387
O 0.2960 0.2076 0.7997
O 0.3127 0.3021 0.2996
O 0.3371 0.0458 0.1225
O 0.4094 0.4096 0.5594

***

The following is a calculated PXRD pattern of Sr2Ca2Cu3Bi2O10. It was derived from DFT lattice parameters and positions (PBE), using Cu Ka.

Main lines, in order of rising 2θ (10 to 80 degrees two-theta):
hkl  two_theta  Rel. int.
1 0 5  26.39  618
1 0 7  28.88  1000
1 0 9  31.92  409
1 1 0  33.53  884
2 0 0  48.16  467
2 1 7  57.13  321

a b c (Å): 3.7792 3.7792 37.6346
angles (deg): 90.00 90.00 90.00
Space group I4/mmm (No. 139)
Symmetry-distinct sites (fractional):
Sr 0.0000 0.0000 0.1345
Ca 0.0000 0.0000 0.0434
Cu 0.0000 0.0000 0.4151
Cu 0.0000 0.0000 0.5000
Bi 0.0000 0.0000 0.2889
O 0.0000 0.0000 0.2110
O 0.0000 0.0000 0.3440
O 0.0000 0.5000 0.0000
O 0.0000 0.5000 0.0861